For Te4XeO4F20, a crystal structure in Alexandria, relaxed with PBE gives the computed PXRD pattern in this record (CuKα).
No peak broadening, texture or thermal motion is included.

The 10 most intense peaks (2θ = 15–90°), by angle:
d = 4.903 Å, intensity 60, hkl 0 0 2
d = 4.871 Å, intensity 57, hkl 1 -1 0
d = 4.510 Å, intensity 100, hkl 1 -1 1
d = 4.409 Å, intensity 42, hkl 0 2 -1
d = 3.987 Å, intensity 51, hkl 1 1 -2
d = 3.700 Å, intensity 39, hkl 1 1 1
d = 3.418 Å, intensity 47, hkl 0 2 1
d = 3.155 Å, intensity 39, hkl 0 2 -3
d = 2.568 Å, intensity 33, hkl 1 -3 0
d = 2.316 Å, intensity 33, hkl 2 0 2

```
data_Te4XeO4F20
_cell_length_a 5.747
_cell_length_b 8.850
_cell_length_c 10.541
_cell_angle_alpha 109.91
_cell_angle_beta 97.28
_cell_angle_gamma 91.76
_space_group_name_H-M_alt 'P -1'
_space_group_IT_number 2
loop_
_space_group_symop_operation_xyz
'x,y,z'
'-x,-y,-z'
loop_
_atom_site_label
_atom_site_type_symbol
_atom_site_fract_x
_atom_site_fract_y
_atom_site_fract_z
Te1 Te 0.228 0.386 0.251
Te2 Te 0.257 0.104 0.742
Xe1 Xe 0.000 0.000 0.000
O1 O 0.239 0.971 0.854
O2 O 0.262 0.161 0.156
F1 F 0.045 0.972 0.354
F2 F 0.065 0.622 0.855
F3 F 0.075 0.337 0.381
F4 F 0.122 0.273 0.867
F5 F 0.203 0.604 0.347
F6 F 0.287 0.233 0.637
F7 F 0.381 0.450 0.129
F8 F 0.389 0.937 0.617
F9 F 0.441 0.812 0.163
F10 F 0.480 0.606 0.645
```